Entry 1:
B2PC: theoretical PXRD pattern (copper Kα), based on DFT lattice parameters and positions (PBE).
Kinematic intensities with the Lorentz-polarization factor, no thermal factor.

Crystal structure
```
B2PC
1.0
2.876 0.000 0.000
-1.438 2.490 0.000
0.000 0.000 5.039
B P C
2 1 1
Direct
0.000 0.000 0.000
0.333 0.667 0.404
0.000 0.000 0.601
0.333 0.667 0.094
```

Top 6 peaks for 10 to 80 degrees two-theta, sorted by position:
2theta	I/Imax	(hkl)
17.6	39	0 0 1
35.6	41	0 0 2
36.1	84	1 0 0
40.4	100	1 0 1
51.6	50	1 0 2
67.2	39	0 1 3


Entry 2:
B3PC: theoretical PXRD pattern (copper Kα), based on DFT lattice parameters and positions (PBE).
Kinematic intensities with the Lorentz-polarization factor, no thermal factor.

Crystal structure
```
B3PC
1.0
2.920 0.000 0.000
1.441 2.835 0.000
1.442 -0.364 5.794
B P C
3 1 1
Direct
0.000 0.000 0.000
0.128 0.035 0.712
0.652 0.442 0.251
0.519 0.378 0.587
0.107 0.623 0.166
```

Top 6 peaks for 10 to 80 degrees two-theta, sorted by position:
2theta	I/Imax	(hkl)
15.3	77	0 0 1
30.9	100	0 0 2
31.6	45	0 1 0
35.1	84	1 0 1
35.3	84	1 1 0
36.2	93	0 1 1


Entry 3:
B2PC: theoretical PXRD pattern (copper Kα), based on DFT lattice parameters and positions (PBE).
Kinematic intensities with the Lorentz-polarization factor, no thermal factor.

Crystal structure
```
B2PC
1.0
2.905 0.000 0.000
1.445 2.531 0.000
1.442 -0.804 4.943
B P C
2 1 1
Direct
0.000 0.000 0.000
0.067 0.455 0.411
0.278 0.847 0.600
0.295 0.323 0.095
```

Top 6 peaks for 10 to 80 degrees two-theta, sorted by position:
2theta	I/Imax	(hkl)
17.9	43	0 0 1
36.2	21	1 1 0
36.4	44	0 0 2
37.6	100	0 1 -1
37.7	48	1 1 1
43.5	22	1 0 2